This entry pairs a crystal structure of TaAgS3 with its computed powder diffractogram. Radiation: Cu Kα X-rays. Structure: a GGA-PBE-relaxed structure.
Kinematic intensities with the Lorentz-polarization factor, no thermal factor.

Principal peaks in the range 2θ from 10° to 90°, in order of rising 2θ:
d_spacing, two_theta, I (rel.), index
7.181, 12.33, 394, 0 2 0
3.591, 24.80, 457, 0 4 0
3.422, 26.04, 1000, 0 2 2
3.039, 29.39, 390, 1 1 1
2.768, 32.35, 388, 1 3 0
2.608, 34.39, 599, 1 3 1
2.110, 42.86, 293, 1 5 1
2.040, 44.42, 738, 0 6 2
1.893, 48.06, 265, 1 3 3
1.712, 53.54, 233, 0 4 4

Structural model:
```
data_TaAgS3
_chemical_formula_sum 'Ta4 Ag4 S12'
_cell_length_a 3.3919
_cell_length_b 14.3623
_cell_length_c 7.7856
_cell_angle_alpha 90.00
_cell_angle_beta 90.00
_cell_angle_gamma 90.00
_space_group_name_H-M_alt 'C m c 21'
_space_group_IT_number 36
loop_
_space_group_symop_operation_xyz
'x,y,z'
'-x,-y,z+1/2'
'-x,y,z'
'x,-y,z+1/2'
'x+1/2,y+1/2,z'
'-x+1/2,-y+1/2,z+1/2'
'-x+1/2,y+1/2,z'
'x+1/2,-y+1/2,z+1/2'
loop_
_atom_site_label
_atom_site_type_symbol
_atom_site_fract_x
_atom_site_fract_y
_atom_site_fract_z
Ta1 Ta 0.0000 0.2371 0.0000
Ag1 Ag 0.0000 0.4970 0.7547
S1 S 0.0000 0.1743 0.3200
S2 S 0.0000 0.1746 0.6799
S3 S 0.0000 0.3956 0.4998
```


This entry pairs a crystal structure of TaAgS3 with its computed powder diffractogram. Radiation: Cu Kα X-rays. Structure: a GGA-PBE-relaxed structure.
Kinematic intensities with the Lorentz-polarization factor, no thermal factor.

Principal peaks in the range 2θ from 10° to 90°, in order of rising 2θ:
d_spacing, two_theta, I (rel.), index
7.180, 12.33, 393, 0 2 0
3.590, 24.80, 458, 0 4 0
3.422, 26.04, 1000, 0 2 2
3.039, 29.39, 388, 1 1 1
2.768, 32.35, 390, 1 3 0
2.608, 34.39, 598, 1 3 1
2.110, 42.86, 289, 1 5 1
2.040, 44.42, 738, 0 6 2
1.893, 48.06, 263, 1 3 3
1.712, 53.54, 232, 0 4 4

Structural model:
```
data_TaAgS3
_chemical_formula_sum 'Ta4 Ag4 S12'
_cell_length_a 3.3921
_cell_length_b 14.3603
_cell_length_c 7.7860
_cell_angle_alpha 90.00
_cell_angle_beta 90.00
_cell_angle_gamma 90.00
_space_group_name_H-M_alt 'C m c m'
_space_group_IT_number 63
_space_group_name_Hall '-C 2c 2'
loop_
_atom_site_label
_atom_site_type_symbol
_atom_site_fract_x
_atom_site_fract_y
_atom_site_fract_z
Ta1 Ta 0.0000 0.2370 0.2500
Ag1 Ag 0.0000 0.5000 0.0000
S1 S 0.0000 0.1746 0.5704
S2 S 0.0000 0.3957 0.7500
```


This entry pairs a crystal structure of Ta2AgS4 with its computed powder diffractogram. Radiation: Cu Kα X-rays. Structure: a GGA-PBE-relaxed structure.
Kinematic intensities with the Lorentz-polarization factor, no thermal factor.

Principal peaks in the range 2θ from 10° to 90°, in order of rising 2θ:
d_spacing, two_theta, I (rel.), index
7.004, 12.64, 722, 0 0 2
3.502, 25.43, 226, 0 0 4
2.928, 30.53, 617, 1 0 0
2.701, 33.16, 325, 0 1 2
2.481, 36.21, 146, 0 1 3
2.246, 40.14, 1000, 1 0 4
1.690, 54.26, 265, 1 1 0
1.503, 61.72, 166, 0 1 8
1.351, 69.60, 193, 0 2 4
1.216, 78.67, 145, 1 1 8

Structural model:
```
data_Ta2AgS4
_chemical_formula_sum 'Ta2 Ag1 S4'
_cell_length_a 3.3809
_cell_length_b 3.3809
_cell_length_c 14.0088
_cell_angle_alpha 90.00
_cell_angle_beta 90.00
_cell_angle_gamma 120.00
_space_group_name_H-M_alt 'P -3 m 1'
_space_group_IT_number 164
_space_group_name_Hall '-P 3 2"'
loop_
_atom_site_label
_atom_site_type_symbol
_atom_site_fract_x
_atom_site_fract_y
_atom_site_fract_z
Ta1 Ta 0.0000 0.0000 0.2427
Ag1 Ag 0.0000 0.0000 0.5000
S1 S 0.3333 0.6667 0.6447
S2 S 0.3333 0.6667 0.8652
```


This entry pairs a crystal structure of Tb5AgS8 with its computed powder diffractogram. Radiation: Cu Kα X-rays. Structure: a GGA-PBE-relaxed structure.
Kinematic intensities with the Lorentz-polarization factor, no thermal factor.

Principal peaks in the range 2θ from 10° to 90°, in order of rising 2θ:
d_spacing, two_theta, I (rel.), index
3.414, 26.10, 1000, 1 1 2
2.653, 33.78, 272, 1 0 3
2.640, 33.96, 613, 1 3 0
2.237, 40.32, 353, 1 2 3
2.231, 40.42, 180, 3 2 1
1.867, 48.77, 237, 4 0 2
1.783, 51.24, 238, 3 2 3
1.641, 56.02, 149, 3 1 4
1.355, 69.37, 213, 1 6 1
1.136, 85.45, 160, 7 2 1

Structural model:
```
data_Tb5AgS8
_chemical_formula_sum 'Tb10 Ag2 S16'
_cell_length_a 8.3457
_cell_length_b 8.3457
_cell_length_c 8.3950
_cell_angle_alpha 90.00
_cell_angle_beta 90.00
_cell_angle_gamma 90.00
_space_group_name_H-M_alt 'I -4'
_space_group_IT_number 82
loop_
_space_group_symop_operation_xyz
'x,y,z'
'y,-x,-z'
'-x,-y,z'
'-y,x,-z'
'x+1/2,y+1/2,z+1/2'
'y+1/2,-x+1/2,-z+1/2'
'-x+1/2,-y+1/2,z+1/2'
'-y+1/2,x+1/2,-z+1/2'
loop_
_atom_site_label
_atom_site_type_symbol
_atom_site_fract_x
_atom_site_fract_y
_atom_site_fract_z
Tb1 Tb 0.0000 0.0000 0.0000
Tb2 Tb 0.1336 0.2476 0.3811
Ag1 Ag 0.0000 0.5000 0.7500
S1 S 0.0698 0.1780 0.6996
S2 S 0.0742 0.3149 0.0668
```


This entry pairs a crystal structure of TbAgS2 with its computed powder diffractogram. Radiation: Cu Kα X-rays. Structure: a GGA-PBE-relaxed structure.
Kinematic intensities with the Lorentz-polarization factor, no thermal factor.

Principal peaks in the range 2θ from 10° to 90°, in order of rising 2θ:
d_spacing, two_theta, I (rel.), index
4.989, 17.78, 123, 1 1 1
3.282, 27.17, 1000, 2 0 2
3.163, 28.21, 446, 0 0 4
2.715, 33.00, 849, 2 2 0
2.294, 39.28, 122, 1 1 -5
2.060, 43.95, 504, 2 2 4
1.920, 47.36, 289, 0 4 0
1.657, 55.45, 310, 4 2 2
1.641, 56.04, 234, 4 0 4
1.214, 78.84, 115, 2 6 0

Structural model:
```
data_TbAgS2
_chemical_formula_sum 'Tb8 Ag8 S16'
_cell_length_a 7.6797
_cell_length_b 7.6773
_cell_length_c 12.6520
_cell_angle_alpha 90.00
_cell_angle_beta 90.07
_cell_angle_gamma 90.00
_space_group_name_H-M_alt 'P 1 21 1'
_space_group_IT_number 4
loop_
_space_group_symop_operation_xyz
'x,y,z'
'-x,y+1/2,-z'
loop_
_atom_site_label
_atom_site_type_symbol
_atom_site_fract_x
_atom_site_fract_y
_atom_site_fract_z
Tb1 Tb 0.0012 0.0000 0.2531
Tb2 Tb 0.2462 0.2445 0.9973
Tb3 Tb 0.2530 0.7463 0.4966
Tb4 Tb 0.4979 0.9920 0.7542
Ag1 Ag 0.0003 0.4978 0.2135
Ag2 Ag 0.2447 0.2473 0.4770
Ag3 Ag 0.2542 0.7454 0.9738
Ag4 Ag 0.4974 0.9952 0.3007
S1 S 0.0215 0.0178 0.4731
S2 S 0.0241 0.5191 0.9651
S3 S 0.2279 0.2249 0.7772
S4 S 0.2278 0.2690 0.2151
S5 S 0.2720 0.7663 0.2771
S6 S 0.2729 0.7222 0.7146
S7 S 0.4746 0.4703 0.4657
S8 S 0.4803 0.9753 0.9733
```


This entry pairs a crystal structure of Ti6AgS12 with its computed powder diffractogram. Radiation: Cu Kα X-rays. Structure: a GGA-PBE-relaxed structure.
Kinematic intensities with the Lorentz-polarization factor, no thermal factor.

Principal peaks in the range 2θ from 10° to 90°, in order of rising 2θ:
d_spacing, two_theta, I (rel.), index
8.030, 11.02, 272, 1 1 0
6.449, 13.73, 561, 2 0 0
5.131, 17.28, 167, 1 1 -1
4.015, 22.14, 198, 2 2 0
2.963, 30.17, 138, 1 3 -1
2.692, 33.28, 728, 1 3 1
2.182, 41.39, 1000, 3 3 1
1.740, 52.60, 206, 4 0 2
1.710, 53.58, 387, 0 6 0
1.346, 69.90, 145, 6 6 -2

Structural model:
```
data_Ti6AgS12
_chemical_formula_sum 'Ti12 Ag2 S24'
_cell_length_a 14.1852
_cell_length_b 10.2605
_cell_length_c 5.9267
_cell_angle_alpha 90.00
_cell_angle_beta 114.60
_cell_angle_gamma 90.00
_space_group_name_H-M_alt 'C 1 2/m 1'
_space_group_IT_number 12
loop_
_space_group_symop_operation_xyz
'x,y,z'
'-x,-y,-z'
'-x,y,-z'
'x,-y,z'
'x+1/2,y+1/2,z'
'-x+1/2,-y+1/2,-z'
'-x+1/2,y+1/2,-z'
'x+1/2,-y+1/2,z'
loop_
_atom_site_label
_atom_site_type_symbol
_atom_site_fract_x
_atom_site_fract_y
_atom_site_fract_z
Ti1 Ti 0.2430 0.0000 0.2454
Ti2 Ti 0.2482 0.1673 0.7528
Ag1 Ag 0.0000 0.5000 0.5000
S1 S 0.1377 0.0000 0.4744
S2 S 0.1377 0.1681 0.9718
S3 S 0.1408 0.3331 0.4711
S4 S 0.1416 0.5000 0.9737
```


This entry pairs a crystal structure of Ti3AgS6 with its computed powder diffractogram. Radiation: Cu Kα X-rays. Structure: a GGA-PBE-relaxed structure.
Kinematic intensities with the Lorentz-polarization factor, no thermal factor.

Principal peaks in the range 2θ from 10° to 90°, in order of rising 2θ:
d_spacing, two_theta, I (rel.), index
4.974, 17.83, 407, 1 0 1
4.545, 19.53, 338, 0 1 2
3.527, 25.25, 200, 1 0 4
3.096, 28.84, 146, 0 1 5
2.971, 30.08, 228, 1 1 0
2.699, 33.19, 424, 2 -1 3
2.187, 41.28, 1000, 2 -1 6
1.715, 53.41, 342, 3 0 0
1.350, 69.67, 179, 2 2 6
1.176, 81.94, 153, 3 0 12

Structural model:
```
data_Ti3AgS6
_chemical_formula_sum 'Ti9 Ag3 S18'
_cell_length_a 5.9423
_cell_length_b 5.9423
_cell_length_c 19.3781
_cell_angle_alpha 90.00
_cell_angle_beta 90.00
_cell_angle_gamma 120.00
_space_group_name_H-M_alt 'R -3'
_space_group_IT_number 148
_space_group_name_Hall '-R 3'
loop_
_atom_site_label
_atom_site_type_symbol
_atom_site_fract_x
_atom_site_fract_y
_atom_site_fract_z
Ti1 Ti 0.0000 0.0000 0.0000
Ti2 Ti 0.0000 0.0000 0.3327
Ag1 Ag 0.0000 0.0000 0.5000
S1 S 0.9999 0.3376 0.4076
```


This entry pairs a crystal structure of TmAgS2 with its computed powder diffractogram. Radiation: Cu Kα X-rays. Structure: a GGA-PBE-relaxed structure.
Kinematic intensities with the Lorentz-polarization factor, no thermal factor.

Principal peaks in the range 2θ from 10° to 90°, in order of rising 2θ:
d_spacing, two_theta, I (rel.), index
3.228, 27.63, 562, 0 1 2
3.093, 28.87, 170, 0 0 6
2.765, 32.38, 1000, 1 0 4
1.988, 45.63, 375, 1 1 0
1.924, 47.25, 334, 0 1 8
1.672, 54.90, 176, 1 1 6
1.614, 57.06, 189, 0 2 4
1.253, 75.93, 161, 2 1 4
1.221, 78.33, 146, 1 1 12
1.135, 85.56, 120, 1 2 8

Structural model:
```
data_TmAgS2
_chemical_formula_sum 'Tm3 Ag3 S6'
_cell_length_a 3.9763
_cell_length_b 3.9763
_cell_length_c 18.5570
_cell_angle_alpha 90.00
_cell_angle_beta 90.00
_cell_angle_gamma 120.00
_space_group_name_H-M_alt 'R -3 m'
_space_group_IT_number 166
_space_group_name_Hall '-R 3 2"'
loop_
_atom_site_label
_atom_site_type_symbol
_atom_site_fract_x
_atom_site_fract_y
_atom_site_fract_z
Tm1 Tm 0.0000 0.0000 0.0000
Ag1 Ag 0.0000 0.0000 0.5000
S1 S 0.0000 0.0000 0.2546
```


This entry pairs a crystal structure of TmAgS2 with its computed powder diffractogram. Radiation: Cu Kα X-rays. Structure: a GGA-PBE-relaxed structure.
Kinematic intensities with the Lorentz-polarization factor, no thermal factor.

Principal peaks in the range 2θ from 10° to 90°, in order of rising 2θ:
d_spacing, two_theta, I (rel.), index
4.920, 18.03, 149, 1 1 -1
3.231, 27.60, 1000, 2 0 -2
3.083, 28.96, 445, 0 0 4
2.683, 33.40, 825, 2 2 0
2.024, 44.78, 516, 2 2 -4
1.897, 47.96, 284, 4 0 0
1.807, 50.50, 146, 2 0 -6
1.636, 56.23, 301, 4 2 -2
1.616, 57.00, 244, 4 0 -4
1.118, 87.18, 144, 6 2 -4

Structural model:
```
data_TmAgS2
_chemical_formula_sum 'Tm8 Ag8 S16'
_cell_length_a 7.5869
_cell_length_b 7.5892
_cell_length_c 12.3340
_cell_angle_alpha 90.00
_cell_angle_beta 90.02
_cell_angle_gamma 90.00
_space_group_name_H-M_alt 'P 1 21 1'
_space_group_IT_number 4
loop_
_space_group_symop_operation_xyz
'x,y,z'
'-x,y+1/2,-z'
loop_
_atom_site_label
_atom_site_type_symbol
_atom_site_fract_x
_atom_site_fract_y
_atom_site_fract_z
Tm1 Tm 0.9999 0.0000 0.2464
Tm2 Tm 0.2466 0.7542 0.5024
Tm3 Tm 0.2529 0.2534 0.0036
Tm4 Tm 0.4987 0.0066 0.7451
Ag1 Ag 0.0010 0.5022 0.2831
Ag2 Ag 0.2456 0.7530 0.0187
Ag3 Ag 0.2522 0.2545 0.5218
Ag4 Ag 0.4974 0.0049 0.2027
S1 S 0.0150 0.9893 0.0252
S2 S 0.0186 0.4857 0.5339
S3 S 0.2320 0.7360 0.2829
S4 S 0.2329 0.7711 0.7241
S5 S 0.2667 0.2371 0.2248
S6 S 0.2698 0.2738 0.7840
S7 S 0.4814 0.5229 0.0340
S8 S 0.4832 0.0209 0.5246
```


This entry pairs a crystal structure of TmAgS2 with its computed powder diffractogram. Radiation: Cu Kα X-rays. Structure: a GGA-PBE-relaxed structure.
Kinematic intensities with the Lorentz-polarization factor, no thermal factor.

Principal peaks in the range 2θ from 10° to 90°, in order of rising 2θ:
d_spacing, two_theta, I (rel.), index
4.909, 18.07, 151, 1 0 1
3.212, 27.78, 1000, 1 1 2
2.996, 29.82, 415, 0 0 4
2.690, 33.30, 788, 2 0 0
2.002, 45.30, 510, 2 0 4
1.902, 47.81, 277, 2 2 0
1.769, 51.69, 138, 1 1 6
1.637, 56.20, 282, 3 1 2
1.606, 57.37, 248, 2 2 4
1.117, 87.33, 156, 4 2 4

Structural model:
```
data_TmAgS2
_chemical_formula_sum 'Tm4 Ag4 S8'
_cell_length_a 5.3808
_cell_length_b 5.3808
_cell_length_c 11.9846
_cell_angle_alpha 90.00
_cell_angle_beta 90.00
_cell_angle_gamma 90.00
_space_group_name_H-M_alt 'I 41 m d'
_space_group_IT_number 109
_space_group_name_Hall 'I 4bw -2'
loop_
_atom_site_label
_atom_site_type_symbol
_atom_site_fract_x
_atom_site_fract_y
_atom_site_fract_z
Tm1 Tm 0.0000 0.0000 0.0000
Ag1 Ag 0.0000 0.0000 0.4650
S1 S 0.0000 0.0000 0.2288
S2 S 0.0000 0.0000 0.7753
```


This entry pairs a crystal structure of Ag2WS4 with its computed powder diffractogram. Radiation: Cu Kα X-rays. Structure: a GGA-PBE-relaxed structure.
Kinematic intensities with the Lorentz-polarization factor, no thermal factor.

Principal peaks in the range 2θ from 10° to 90°, in order of rising 2θ:
d_spacing, two_theta, I (rel.), index
6.029, 14.69, 1000, 0 0 2
4.670, 19.00, 394, 1 0 2
3.926, 22.65, 997, 0 2 0
3.290, 27.10, 384, 0 2 2
2.922, 30.59, 434, 2 1 2
2.625, 34.16, 289, 2 2 1
2.305, 39.07, 762, 0 1 5
2.237, 40.33, 646, 2 2 3
2.055, 44.07, 305, 3 2 1
1.774, 51.53, 350, 0 3 5

Structural model:
```
data_Ag2WS4
_chemical_formula_sum 'Ag8 W4 S16'
_cell_length_a 7.3843
_cell_length_b 7.8521
_cell_length_c 12.0586
_cell_angle_alpha 90.00
_cell_angle_beta 90.00
_cell_angle_gamma 90.00
_space_group_name_H-M_alt 'P n m a'
_space_group_IT_number 62
loop_
_space_group_symop_operation_xyz
'x,y,z'
'-x,-y,-z'
'-x+1/2,-y,z+1/2'
'x+1/2,y,-z+1/2'
'x+1/2,-y+1/2,-z+1/2'
'-x+1/2,y+1/2,z+1/2'
'-x,y+1/2,-z'
'x,-y+1/2,z'
loop_
_atom_site_label
_atom_site_type_symbol
_atom_site_fract_x
_atom_site_fract_y
_atom_site_fract_z
Ag1 Ag 0.0932 0.2500 0.0457
Ag2 Ag 0.1359 0.7500 0.3710
W1 W 0.1848 0.2500 0.4550
S1 S 0.0859 0.7500 0.6211
S2 S 0.1622 0.5255 0.8897
S3 S 0.1972 0.2500 0.6397
```


This entry pairs a crystal structure of Ag3Sb with its computed powder diffractogram. Radiation: Cu Kα X-rays. Structure: a GGA-PBE-relaxed structure.
Kinematic intensities with the Lorentz-polarization factor, no thermal factor.

Principal peaks in the range 2θ from 10° to 90°, in order of rising 2θ:
d_spacing, two_theta, I (rel.), index
2.757, 32.48, 227, 1 0 1
2.584, 34.72, 116, 0 0 2
2.407, 37.36, 332, 0 2 0
2.392, 37.60, 1000, 1 1 1
2.277, 39.59, 399, 0 1 2
1.813, 50.33, 127, 1 2 1
1.523, 60.82, 148, 1 0 3
1.387, 67.55, 167, 1 3 1
1.325, 71.15, 132, 2 1 2
1.287, 73.60, 166, 1 2 3

Structural model:
```
data_Ag3Sb
_chemical_formula_sum 'Ag3 Sb1'
_cell_length_a 3.2594
_cell_length_b 4.8137
_cell_length_c 5.1677
_cell_angle_alpha 90.00
_cell_angle_beta 90.00
_cell_angle_gamma 90.00
_space_group_name_H-M_alt 'P m m 2'
_space_group_IT_number 25
loop_
_space_group_symop_operation_xyz
'x,y,z'
'-x,-y,z'
'-x,y,z'
'x,-y,z'
loop_
_atom_site_label
_atom_site_type_symbol
_atom_site_fract_x
_atom_site_fract_y
_atom_site_fract_z
Ag1 Ag 0.0000 0.0000 0.0000
Ag2 Ag 0.0000 0.5000 0.3336
Ag3 Ag 0.5000 0.5000 0.8518
Sb1 Sb 0.5000 0.0000 0.5054
```